NaAlCO2: theoretical PXRD pattern (Cu Kα X-rays), based on a structure optimized by DFT (GGA-PBE).
No peak broadening, texture or thermal motion is included.

Main lines, low angle first (10° ≤ 2θ ≤ 90°):
2theta, I_rel, (hkl)
39.82, 100, 1 1 1
43.51, 60, 2 0 0
51.56, 17, 0 0 2
63.22, 16, 2 2 0
69.69, 23, 2 0 2
77.37, 21, 3 1 1

Crystal structure
Lattice parameters (Å, degrees): 4.1602 4.1602 3.5454 90.00 90.00 90.00
Fractional coordinates of all 5 atoms:
Na  0.0000  0.0000  0.0000
Al  0.5000  0.5000  0.0000
C  0.5000  0.5000  0.5000
O  0.0000  0.5000  0.5000
O  0.5000  0.0000  0.5000